Theoretical X-ray diffraction stick pattern
Compound: Pu2ZnCoO8
Radiation: Cu Kα (λ = 1.5418 Å)
Structure: a DFT-relaxed cell (PBE+U, Alexandria)

Top 10 peaks for 2θ from 10° to 90°, by intensity:
- d 2.775, I = 100
- d 4.672, I = 63
- d 3.311, I = 48
- d 3.296, I = 47
- d 1.789, I = 36
- d 1.785, I = 35
- d 2.387, I = 26
- d 2.336, I = 24
- d 1.529, I = 20
- d 1.419, I = 19

Crystal structure
abc: 4.672 4.672 6.898
angles: 90.00 90.00 90.25
Positions (direct):
Pu (0.000, 0.000, 0.249)
Pu (0.000, 0.000, 0.751)
Zn (0.500, 0.500, 0.500)
Co (0.500, 0.500, 0.000)
O (0.197, 0.803, 0.500)
O (0.199, 0.801, 0.000)
O (0.294, 0.294, 0.246)
O (0.294, 0.294, 0.754)
O (0.706, 0.706, 0.246)
O (0.706, 0.706, 0.754)
O (0.801, 0.199, 0.000)
O (0.803, 0.197, 0.500)